[1]
For NaIO4, a crystal structure in the Materials Project, relaxed with PBE gives the theoretical powder diffraction line list in this record (copper Kα).
Peak positions follow from Bragg's law for the DFT cell and can differ from measured ones.

Crystal structure
Lattice parameters (Å, degrees): 5.434 5.434 12.170 90.00 90.00 90.00
Space group I4_1/a (No. 88, origin choice 2)
One atom of each set of equivalent atoms:
Na 0.000 0.250 0.125 [4 per cell]
I 0.000 0.250 0.625 [4 per cell]
O 0.150 0.485 0.705 [16 per cell]

Principal peaks in the range 2θ = 10–90°, by angle:
d (Å)  I/Imax  h k l
4.962  61  1 0 1
3.249  100  1 1 2
3.042  10  0 0 4
2.717  11  2 0 0
2.383  17  1 2 1
2.027  24  2 0 4
1.921  10  2 2 0
1.793  14  1 1 6
1.654  22  1 3 2
1.311  11  3 1 6


[2]
For Lu3Ge13Ru4, a crystal structure in the Materials Project, relaxed with PBE gives the theoretical powder diffraction line list in this record (copper Kα).
Peak positions follow from Bragg's law for the DFT cell and can differ from measured ones.

Crystal structure
Lattice parameters (Å, degrees): 8.980 8.980 8.980 90.00 90.00 90.00
Space group Pm-3n (No. 223)
One atom of each set of equivalent atoms:
Lu 0.000 0.250 0.500 [6 per cell]
Ge 0.000 0.000 0.000 [2 per cell]
Ge 0.000 0.309 0.149 [24 per cell]
Ru 0.250 0.250 0.250 [8 per cell]

Principal peaks in the range 2θ = 10–90°, by angle:
d (Å)  I/Imax  h k l
4.016  17  2 1 0
2.592  23  2 2 2
2.491  100  3 2 0
2.400  40  3 2 1
2.245  31  4 0 0
1.833  17  4 2 2
1.540  12  4 3 3
1.457  14  5 3 2
1.354  22  6 2 2
1.233  11  6 4 1


[3]
For ZrSe4Cl6, a crystal structure in the Materials Project, relaxed with PBE gives the theoretical powder diffraction line list in this record (copper Kα).
Peak positions follow from Bragg's law for the DFT cell and can differ from measured ones.

Crystal structure
Lattice parameters (Å, degrees): 11.098 11.192 11.194 90.00 90.00 90.00
Space group Pccn (No. 56)
One atom of each set of equivalent atoms:
Zr 0.000 0.000 0.000 [4 per cell]
Se 0.085 0.093 0.421 [8 per cell]
Se 0.108 0.600 0.995 [8 per cell]
Cl 0.068 0.672 0.629 [8 per cell]
Cl 0.128 0.135 0.116 [8 per cell]
Cl 0.171 0.539 0.357 [8 per cell]

Principal peaks in the range 2θ = 10–90°, by angle:
d (Å)  I/Imax  h k l
5.597  100  0 0 2
5.549  28  2 0 0
3.948  35  2 0 2
3.723  21  1 2 2
2.986  32  2 1 3
2.710  14  2 2 3
2.557  19  3 1 3
2.153  27  1 5 1
2.137  20  5 1 1
1.890  15  1 5 3


[4]
For K2LiCeI6, a crystal structure in the Materials Project, relaxed with PBE gives the theoretical powder diffraction line list in this record (copper Kα).
Peak positions follow from Bragg's law for the DFT cell and can differ from measured ones.

Crystal structure
Lattice parameters (Å, degrees): 12.137 12.137 12.137 90.00 90.00 90.00
Space group Fm-3m (No. 225)
One atom of each set of equivalent atoms:
K 0.250 0.250 0.250 [8 per cell]
Li 0.000 0.000 0.000 [4 per cell]
Ce 0.000 0.000 0.500 [4 per cell]
I 0.000 0.000 0.243 [24 per cell]

Principal peaks in the range 2θ = 10–90°, by angle:
d (Å)  I/Imax  h k l
6.068  55  2 0 0
3.504  97  2 2 2
3.034  100  4 0 0
2.714  30  4 2 0
2.145  73  4 4 0
1.830  43  6 2 2
1.752  26  4 4 4
1.392  17  6 6 2
1.357  32  8 4 0
1.239  24  8 4 4


[5]
For Na6NbAl3Si2P4O24, a crystal structure in the Materials Project, relaxed with PBE gives the theoretical powder diffraction line list in this record (copper Kα).
Peak positions follow from Bragg's law for the DFT cell and can differ from measured ones.

Crystal structure
Lattice parameters (Å, degrees): 8.741 8.756 8.771 60.56 60.74 60.15
Space group P1 (No. 1)
One atom of each set of equivalent atoms:
Na 0.000 0.000 0.000 [1 per cell]
Na 0.100 0.400 0.750 [1 per cell]
Na 0.382 0.742 0.779 [1 per cell]
Na 0.503 0.508 0.487 [1 per cell]
Na 0.624 0.269 0.198 [1 per cell]
Na 0.895 0.624 0.230 [1 per cell]
Nb 0.147 0.152 0.552 [1 per cell]
Al 0.362 0.360 0.923 [1 per cell]
Al 0.646 0.653 0.050 [1 per cell]
Al 0.859 0.856 0.427 [1 per cell]
Si 0.255 0.562 0.230 [1 per cell]
Si 0.742 0.475 0.736 [1 per cell]
P 0.034 0.751 0.746 [1 per cell]
P 0.481 0.045 0.735 [1 per cell]
P 0.546 0.963 0.230 [1 per cell]
P 0.967 0.253 0.222 [1 per cell]
O 0.015 0.212 0.394 [1 per cell]
O 0.068 0.742 0.255 [1 per cell]
O 0.074 0.914 0.734 [1 per cell]
O 0.133 0.290 0.049 [1 per cell]
O 0.219 0.370 0.418 [1 per cell]
O 0.219 0.581 0.749 [1 per cell]
O 0.279 0.512 0.061 [1 per cell]
O 0.292 0.059 0.728 [1 per cell]
O 0.380 0.984 0.414 [1 per cell]
O 0.432 0.233 0.751 [1 per cell]
O 0.441 0.570 0.221 [1 per cell]
O 0.498 0.140 0.069 [1 per cell]
O 0.512 0.871 0.903 [1 per cell]
O 0.563 0.446 0.755 [1 per cell]
O 0.583 0.777 0.218 [1 per cell]
O 0.637 0.023 0.553 [1 per cell]
O 0.722 0.952 0.245 [1 per cell]
O 0.726 0.500 0.916 [1 per cell]
O 0.787 0.427 0.227 [1 per cell]
O 0.787 0.646 0.548 [1 per cell]
O 0.874 0.713 0.926 [1 per cell]
O 0.927 0.089 0.247 [1 per cell]
O 0.927 0.275 0.726 [1 per cell]
O 0.993 0.796 0.575 [1 per cell]

Principal peaks in the range 2θ = 10–90°, by angle:
d (Å)  I/Imax  h k l
6.226  51  0 1 1
4.425  60  1 0 -1
4.379  58  2 1 1
3.756  100  1 2 0
3.735  32  1 2 2
3.722  38  2 1 2
2.845  49  2 -1 0
2.797  83  1 2 -1
2.773  65  2 1 3
2.529  52  0 3 1


[6]
For CeCoGe2Ru, a crystal structure in the Materials Project, relaxed with PBE gives the theoretical powder diffraction line list in this record (copper Kα).
Peak positions follow from Bragg's law for the DFT cell and can differ from measured ones.

Crystal structure
Lattice parameters (Å, degrees): 4.144 4.144 10.225 90.00 90.00 90.00
Space group I-4m2 (No. 119)
One atom of each set of equivalent atoms:
Ce 0.000 0.000 0.000 [2 per cell]
Co 0.000 0.500 0.250 [2 per cell]
Ge 0.000 0.000 0.370 [4 per cell]
Ru 0.000 0.500 0.750 [2 per cell]

Principal peaks in the range 2θ = 10–90°, by angle:
d (Å)  I/Imax  h k l
2.632  84  1 0 3
2.542  100  1 1 2
2.072  65  2 0 0
1.926  15  1 1 4
1.834  23  1 0 5
1.628  39  2 1 3
1.473  22  1 1 6
1.465  21  2 2 0
1.373  18  2 1 5
1.269  21  3 1 2